1.
Computed powder X-ray diffraction pattern of AcGa2BO6 for Cu Kα (λ = 1.5418 Å), from a DFT-relaxed cell (GGA-PBE, Alexandria).

Largest 8 diffraction maxima, in order of rising 2θ, 10 to 90 degrees two-theta:
index	d/Å	Rel. int.
1 1 -1	5.172	69
1 1 1	3.563	80
2 2 -1	3.381	100
2 2 0	3.254	72
3 1 0	2.937	46
1 3 0	2.885	88
4 0 -2	2.524	32
0 4 1	2.097	43

Atomic structure:
Lattice parameters (Å, degrees): 10.8874 9.1046 6.2998 90.00 121.25 90.00
Space group C2/c (No. 15)
Asymmetric unit:
Ac: 0.0000 0.1780 0.2500 (multiplicity 4)
Ga: 0.2048 0.4303 0.1235 (multiplicity 8)
B: 0.0000 0.1884 0.7500 (multiplicity 4)
O: 0.0864 0.2723 0.9778 (multiplicity 8)
O: 0.0951 0.0911 0.7030 (multiplicity 8)
O: 0.1814 0.4189 0.4063 (multiplicity 8)

=====

2.
Computed powder X-ray diffraction pattern of Mg14FeW for Cu Kα (λ = 1.5418 Å), from a DFT-relaxed cell (GGA-PBE, Alexandria).

Largest 8 diffraction maxima, in order of rising 2θ, 10 to 90 degrees two-theta:
index	d/Å	Rel. int.
0 0 2	5.400	31
2 0 0	4.971	23
1 0 2	4.745	42
1 1 1	4.700	31
0 2 2	2.667	34
4 0 0	2.486	38
2 0 4	2.373	56
2 2 2	2.350	100

Atomic structure:
Lattice parameters (Å, degrees): 9.9425 6.1336 10.8006 90.00 90.00 90.00
Space group Amm2 (No. 38)
Asymmetric unit:
Mg: 0.0000 0.0000 0.9999 (multiplicity 2)
Mg: 0.0000 0.0000 0.5000 (multiplicity 2)
Mg: 0.0000 0.2503 0.2519 (multiplicity 4)
Mg: 0.2578 0.0000 0.1603 (multiplicity 4)
Mg: 0.2612 0.0000 0.6599 (multiplicity 4)
Mg: 0.2699 0.2490 0.9216 (multiplicity 8)
Mg: 0.5000 0.2484 0.2506 (multiplicity 4)
Fe: 0.5000 0.0000 0.5056 (multiplicity 2)
W: 0.5000 0.0000 0.0068 (multiplicity 2)